Theoretical powder diffractogram of KAlCr2O10 for Cu Kα, 1.54184 Å, from the GGA+U geometry in Alexandria.

Crystal structure
a = 10.0312 Å, b = 5.4019 Å, c = 7.9491 Å
α = 90.00°, β = 97.65°, γ = 90.00°
Space group C2/m (No. 12)
Unique sites:
K  0.0000  0.0000  0.0000 (multiplicity 2)
Al  0.0000  0.0000  0.5000 (multiplicity 2)
Cr  0.1300  0.5000  0.7514 (multiplicity 4)
O  0.0519  0.2430  0.6715 (multiplicity 8)
O  0.1418  0.5000  0.9562 (multiplicity 4)
O  0.1822  0.0000  0.4547 (multiplicity 4)
O  0.1990  0.0000  0.2842 (multiplicity 4)

Peak list (10 most intense, 2θ from 10° to 80°, in order of rising 2θ)
hkl 2 0 -1, 19.81 deg, I = 29
hkl 1 1 -1, 21.23 deg, I = 36
hkl 1 1 1, 22.45 deg, I = 100
hkl 1 1 -2, 28.51 deg, I = 20
hkl 1 1 2, 30.39 deg, I = 26
hkl 3 1 0, 31.68 deg, I = 19
hkl 3 1 -1, 32.43 deg, I = 19
hkl 0 2 0, 33.17 deg, I = 24
hkl 4 0 -2, 40.25 deg, I = 17
hkl 5 1 0, 48.78 deg, I = 17